The following is a theoretical powder diffraction line list of AcBiH6Ir2. It was derived from a structure optimized by DFT (GGA-PBE), using Cu Ka.

Principal peaks in the range 2θ from 5° to 70°, in order of rising 2θ:
2θ 14.46, d = 6.127 Å, intensity 10, hkl 0 2 0; 2θ 25.65, d = 3.473 Å, intensity 10, hkl 2 2 0; 2θ 30.78, d = 2.905 Å, intensity 11, hkl 1 3 1; 2θ 31.94, d = 2.802 Å, intensity 100, hkl 2 2 1; 2θ 34.87, d = 2.573 Å, intensity 12, hkl 0 4 1; 2θ 37.96, d = 2.371 Å, intensity 22, hkl 0 0 2; 2θ 41.10, d = 2.196 Å, intensity 10, hkl 2 4 1; 2θ 42.90, d = 2.108 Å, intensity 21, hkl 4 0 0; 2θ 58.60, d = 1.575 Å, intensity 13, hkl 4 0 2; 2θ 64.81, d = 1.438 Å, intensity 14, hkl 2 2 3

```
data_AcBiH6Ir2
_cell_length_a 8.432
_cell_length_b 12.254
_cell_length_c 4.741
_cell_angle_alpha 90.00
_cell_angle_beta 90.00
_cell_angle_gamma 90.00
_space_group_name_H-M_alt 'C m c m'
_space_group_IT_number 63
_space_group_name_Hall '-C 2c 2'
loop_
_atom_site_label
_atom_site_fract_x
_atom_site_fract_y
_atom_site_fract_z
Ac1 0.000 0.171 0.250
Bi1 0.000 0.410 0.750
H1 0.144 0.000 0.000
H2 0.232 0.320 0.029
Ir1 0.247 0.421 0.250
```

***

The following is a theoretical powder diffraction line list of YGa6Co. It was derived from a structure optimized by DFT (GGA-PBE), using Cu Ka.

Principal peaks in the range 2θ from 5° to 70°, in order of rising 2θ:
2θ 27.16, d = 3.284 Å, intensity 9, hkl 1 1 1; 2θ 36.69, d = 2.449 Å, intensity 11, hkl 0 3 1; 2θ 38.06, d = 2.365 Å, intensity 100, hkl 1 2 2; 2θ 38.54, d = 2.336 Å, intensity 21, hkl 0 0 4; 2θ 38.66, d = 2.329 Å, intensity 20, hkl 1 1 3; 2θ 45.94, d = 1.976 Å, intensity 21, hkl 2 0 0; 2θ 47.78, d = 1.904 Å, intensity 9, hkl 0 4 0; 2θ 61.47, d = 1.509 Å, intensity 10, hkl 2 0 4; 2θ 61.63, d = 1.505 Å, intensity 6, hkl 0 3 5; 2θ 69.40, d = 1.354 Å, intensity 12, hkl 1 2 6

```
data_YGa6Co
_cell_length_a 3.951
_cell_length_b 7.615
_cell_length_c 9.345
_cell_angle_alpha 90.00
_cell_angle_beta 90.00
_cell_angle_gamma 90.00
_space_group_name_H-M_alt 'A m m 2'
_space_group_IT_number 38
loop_
_space_group_symop_operation_xyz
'x,y,z'
'-x,-y,z'
'-x,y,z'
'x,-y,z'
'x,y+1/2,z+1/2'
'-x,-y+1/2,z+1/2'
'-x,y+1/2,z+1/2'
'x,-y+1/2,z+1/2'
loop_
_atom_site_label
_atom_site_fract_x
_atom_site_fract_y
_atom_site_fract_z
Y1 0.000 0.000 0.000
Ga1 0.000 0.233 0.260
Ga2 0.500 0.000 0.239
Ga3 0.500 0.000 0.763
Ga4 0.500 0.183 0.494
Co1 0.000 0.000 0.609
```